Entry 1:
K3ScBi2O6: calculated powder XRD pattern (Cu Kα), based on DFT lattice parameters and positions (PBE).
Lines closer than 0.1° are merged.

Peak list (6 most intense, 10° ≤ 2θ ≤ 90°, sorted by position)
2θ (°)  d (Å)  I (rel.)
14.2  6.240  88.8
29.8  2.998  36.0
31.0  2.889  74.5
35.2  2.547  100.0
49.2  1.854  34.1
52.2  1.753  34.1

Crystal structure
```
K3ScBi2O6
1.0
3.0365 -5.2602 0.0000
3.0365 5.2602 0.0000
-2.0288 0.0000 6.2402
K Sc Bi O
3 1 2 6
Direct
0.0000 0.0000 0.0000 K
0.3341 0.6659 0.0000 K
0.6659 0.3341 0.0000 K
0.5000 0.5000 0.5000 Sc
0.1667 0.8333 0.5000 Bi
0.8333 0.1667 0.5000 Bi
0.1312 0.4360 0.3081 O
0.2592 0.2592 0.6911 O
0.4360 0.1312 0.3081 O
0.5640 0.8688 0.6919 O
0.7408 0.7408 0.3089 O
0.8688 0.5640 0.6919 O
```

***

Entry 2:
Pr8NiRh3I4: calculated powder XRD pattern (Cu Kα), based on DFT lattice parameters and positions (PBE).
Lines closer than 0.1° are merged.

Peak list (6 most intense, 10° ≤ 2θ ≤ 90°, sorted by position)
2θ (°)  d (Å)  I (rel.)
28.5  3.133  100.0
30.5  2.928  11.4
38.3  2.350  25.9
43.0  2.102  38.3
52.4  1.745  18.0
55.1  1.666  12.9

Crystal structure
```
Pr8NiRh3I4
1.0
7.2723 -4.2083 0.0000
7.2723 4.2083 0.0000
-4.8478 0.0000 8.2032
Pr Ni Rh I
8 1 3 4
Direct
0.2260 0.2260 0.6836 Pr
0.2265 0.7306 0.6841 Pr
0.2694 0.7735 0.3159 Pr
0.2709 0.2709 0.3125 Pr
0.7291 0.7291 0.6875 Pr
0.7306 0.2265 0.6841 Pr
0.7735 0.2694 0.3159 Pr
0.7740 0.7740 0.3164 Pr
0.0000 0.0000 0.5000 Ni
0.0000 0.5000 0.5000 Rh
0.5000 0.0000 0.5000 Rh
0.5000 0.5000 0.5000 Rh
0.0000 0.0000 0.0000 I
0.0000 0.5000 0.0000 I
0.5000 0.0000 0.0000 I
0.5000 0.5000 0.0000 I
```

***

Entry 3:
CaPm6Y2Er3: calculated powder XRD pattern (Cu Kα), based on DFT lattice parameters and positions (PBE).
Lines closer than 0.1° are merged.

Peak list (6 most intense, 10° ≤ 2θ ≤ 90°, sorted by position)
2θ (°)  d (Å)  I (rel.)
30.2  2.955  100.0
30.6  2.925  32.2
35.2  2.552  66.7
50.4  1.812  24.0
50.8  1.798  23.1
60.1  1.540  18.6

Crystal structure
```
CaPm6Y2Er3
1.0
3.1386 -5.4350 0.0000
3.1386 5.4350 0.0000
-2.0744 0.0000 11.6996
Ca Pm Y Er
1 6 2 3
Direct
0.0000 0.0000 0.0000 Ca
0.0854 0.4250 0.2548 Pm
0.2539 0.2539 0.7445 Pm
0.4250 0.0854 0.2548 Pm
0.5750 0.9146 0.7452 Pm
0.7461 0.7461 0.2555 Pm
0.9146 0.5750 0.7452 Pm
0.3333 0.6667 0.0000 Y
0.6667 0.3333 0.0000 Y
0.1664 0.8336 0.5000 Er
0.5000 0.5000 0.5000 Er
0.8336 0.1664 0.5000 Er
```

***

Entry 4:
PuP3O9: calculated powder XRD pattern (Cu Kα), based on DFT lattice parameters and positions (PBE).
Lines closer than 0.1° are merged.

Peak list (6 most intense, 10° ≤ 2θ ≤ 90°, sorted by position)
2θ (°)  d (Å)  I (rel.)
12.9  6.874  68.0
15.7  5.660  100.0
17.6  5.031  88.1
24.1  3.691  94.1
25.8  3.459  68.7
28.6  3.116  84.2

Crystal structure
```
PuP3O9
1.0
4.3263 -5.6597 0.0000
4.3263 5.6597 0.0000
0.0000 0.0000 7.3816
Pu P O
2 6 18
Direct
0.1321 0.1321 0.0000 Pu
0.8679 0.8679 0.5000 Pu
0.2502 0.2502 0.5000 P
0.3155 0.6691 0.9543 P
0.3309 0.6845 0.5457 P
0.6691 0.3155 0.0457 P
0.6845 0.3309 0.4543 P
0.7498 0.7498 0.0000 P
0.1356 0.1721 0.6692 O
0.1711 0.7833 0.5356 O
0.1721 0.1356 0.3308 O
0.2167 0.8289 0.9644 O
0.2198 0.4761 0.0377 O
0.2510 0.4697 0.4582 O
0.3721 0.6279 0.7500 O
0.4697 0.2510 0.5418 O
0.4761 0.2198 0.9623 O
0.5239 0.7802 0.4623 O
0.5303 0.7490 0.0418 O
0.6279 0.3721 0.2500 O
0.7490 0.5303 0.9582 O
0.7802 0.5239 0.5377 O
0.7833 0.1711 0.4644 O
0.8279 0.8644 0.8308 O
0.8289 0.2167 0.0356 O
0.8644 0.8279 0.1692 O
```

***

Entry 5:
TlCdAsO4: calculated powder XRD pattern (Cu Kα), based on DFT lattice parameters and positions (PBE).
Lines closer than 0.1° are merged.

Peak list (6 most intense, 10° ≤ 2θ ≤ 90°, sorted by position)
2θ (°)  d (Å)  I (rel.)
15.5  5.729  62.9
30.2  2.960  50.9
31.2  2.864  59.3
32.9  2.720  100.0
38.3  2.349  62.8
55.3  1.661  60.5

Crystal structure
```
TlCdAsO4
1.0
-3.0901 3.6121 4.7018
3.0901 -3.6121 4.7018
3.0901 3.6121 -4.7018
Tl Cd As O
2 2 2 8
Direct
0.5000 0.0000 0.0000 Tl
0.5000 0.5000 0.5000 Tl
0.0000 0.0000 0.0000 Cd
0.5000 0.0000 0.5000 Cd
0.1113 0.3613 0.7500 As
0.8887 0.6387 0.2500 As
0.1890 0.7395 0.4495 O
0.2100 0.2605 0.9495 O
0.2227 0.2408 0.5182 O
0.2227 0.7045 0.9818 O
0.7773 0.2955 0.0182 O
0.7773 0.7592 0.4818 O
0.7900 0.7395 0.0505 O
0.8110 0.2605 0.5505 O
```

***

Entry 6:
Cs2MgAlGe2: calculated powder XRD pattern (Cu Kα), based on DFT lattice parameters and positions (PBE).
Lines closer than 0.1° are merged.

Peak list (6 most intense, 10° ≤ 2θ ≤ 90°, sorted by position)
2θ (°)  d (Å)  I (rel.)
26.8  3.332  100.0
27.4  3.260  23.4
27.6  3.235  28.9
39.2  2.297  30.5
42.2  2.142  26.0
48.2  1.886  19.5

Crystal structure
```
Cs2MgAlGe2
1.0
-3.2603 9.6827 3.2363
3.2603 -9.6827 3.2363
3.2603 9.6827 -3.2363
Cs Mg Al Ge
4 2 2 4
Direct
0.1626 0.2443 0.4069 Cs
0.3374 0.7443 0.0818 Cs
0.6626 0.2557 0.9182 Cs
0.8374 0.7557 0.5931 Cs
0.2500 0.2500 0.0000 Mg
0.7500 0.7500 0.0000 Mg
0.2500 0.7500 0.5000 Al
0.7500 0.2500 0.5000 Al
0.0750 0.7287 0.8037 Ge
0.4250 0.2287 0.6536 Ge
0.5750 0.7713 0.3464 Ge
0.9250 0.2713 0.1963 Ge
```

***

Entry 7:
NdBIrRh: calculated powder XRD pattern (Cu Kα), based on DFT lattice parameters and positions (PBE).
Lines closer than 0.1° are merged.

Peak list (6 most intense, 10° ≤ 2θ ≤ 90°, sorted by position)
2θ (°)  d (Å)  I (rel.)
33.0  2.712  100.0
37.0  2.432  70.8
38.0  2.370  66.3
45.7  1.984  21.7
60.9  1.521  33.4
63.0  1.476  30.0

Crystal structure
```
NdBIrRh
1.0
3.7157 0.0000 0.0000
0.0000 3.9686 0.0000
0.0000 0.0000 9.2324
Nd B Ir Rh
2 2 2 2
Direct
0.0000 0.0000 0.0000 Nd
0.5000 0.5000 0.5000 Nd
0.0000 0.5000 0.2491 B
0.5000 0.0000 0.7491 B
0.0000 0.0000 0.6456 Ir
0.5000 0.5000 0.1456 Ir
0.0000 0.0000 0.3479 Rh
0.5000 0.5000 0.8479 Rh
```

***

Entry 8:
TbNdAg4: calculated powder XRD pattern (Cu Kα), based on DFT lattice parameters and positions (PBE).
Lines closer than 0.1° are merged.

Peak list (6 most intense, 10° ≤ 2θ ≤ 90°, sorted by position)
2θ (°)  d (Å)  I (rel.)
33.4  2.684  67.4
37.1  2.423  100.0
47.8  1.902  12.0
62.1  1.496  21.3
62.2  1.493  21.2
69.2  1.358  14.9

Crystal structure
```
TbNdAg4
1.0
5.3729 0.0000 0.0000
0.0000 9.4433 0.0000
-0.0203 0.0000 5.3643
Tb Nd Ag
2 2 8
Direct
0.0000 0.0000 0.0000 Tb
0.5000 0.5000 0.0000 Tb
0.0000 0.5000 0.5000 Nd
0.5000 0.0000 0.5000 Nd
0.0000 0.1695 0.5000 Ag
0.0000 0.3253 0.0000 Ag
0.0000 0.6747 0.0000 Ag
0.0000 0.8305 0.5000 Ag
0.5000 0.1747 0.0000 Ag
0.5000 0.3305 0.5000 Ag
0.5000 0.6695 0.5000 Ag
0.5000 0.8253 0.0000 Ag
```

***

Entry 9:
Rb4SmTh3S8: calculated powder XRD pattern (Cu Kα), based on DFT lattice parameters and positions (PBE).
Lines closer than 0.1° are merged.

Peak list (6 most intense, 10° ≤ 2θ ≤ 90°, sorted by position)
2θ (°)  d (Å)  I (rel.)
11.3  7.797  44.1
26.0  3.427  53.2
29.2  3.056  100.0
39.8  2.266  39.3
43.7  2.070  33.6
49.9  1.828  27.1

Crystal structure
```
Rb4SmTh3S8
1.0
4.1394 2.3899 7.7967
-4.1394 2.3899 7.7967
0.0000 -4.7798 7.7967
Rb Sm Th S
4 1 3 8
Direct
0.0000 0.0000 0.0000 Rb
0.0000 0.5000 0.5000 Rb
0.5000 0.0000 0.5000 Rb
0.5000 0.5000 0.0000 Rb
0.5000 0.5000 0.5000 Sm
0.0000 0.0000 0.5000 Th
0.0000 0.5000 0.0000 Th
0.5000 0.0000 0.0000 Th
0.2317 0.7345 0.7345 S
0.2343 0.2343 0.2343 S
0.2655 0.2655 0.7683 S
0.2655 0.7683 0.2655 S
0.7345 0.2317 0.7345 S
0.7345 0.7345 0.2317 S
0.7657 0.7657 0.7657 S
0.7683 0.2655 0.2655 S
```